No. 1
Simulated X-ray powder pattern
Compound: Nb6AlGa3
Radiation: Cu Kα, 1.54184 Å
Structure: a PBE-relaxed structure

Structural model:
a b c (Å): 7.109 6.616 9.871
angles (deg): 90.00 129.25 90.00
Space group P2_1/c (No. 14)
Symmetry-distinct sites (fractional):
1 Nb 0.024 0.140 0.302 (multiplicity 4)
2 Nb 0.282 0.195 0.710 (multiplicity 4)
3 Nb 0.397 0.615 0.853 (multiplicity 4)
4 Al 0.000 0.000 0.000 (multiplicity 2)
5 Ga 0.236 0.671 0.048 (multiplicity 4)
6 Ga 0.500 0.000 0.000 (multiplicity 2)

Most intense lines, 2θ from 10° to 90°, in order of rising 2θ:
(hkl), Position (°2θ), Rel. int.
1 2 1, 37.24, 564
0 1 3, 37.84, 259
3 0 -2, 38.70, 1000
2 1 -4, 39.07, 589
2 2 -3, 40.01, 470
0 3 1, 42.69, 392

No. 2
Simulated X-ray powder pattern
Compound: NdSmMgBi
Radiation: Cu Kα, 1.54184 Å
Structure: a PBE-relaxed structure

Structural model:
a b c (Å): 7.814 7.814 7.814
angles (deg): 90.00 90.00 90.00
Space group F-43m (No. 216)
Symmetry-distinct sites (fractional):
1 Nd 0.000 0.000 0.000 (multiplicity 4)
2 Sm 0.000 0.000 0.500 (multiplicity 4)
3 Mg 0.250 0.250 0.250 (multiplicity 4)
4 Bi 0.250 0.250 0.750 (multiplicity 4)

Most intense lines, 2θ from 10° to 90°, in order of rising 2θ:
(hkl), Position (°2θ), Rel. int.
1 1 1, 19.68, 258
2 2 0, 32.41, 1000
3 1 1, 38.20, 153
4 0 0, 46.49, 185
4 2 2, 57.81, 389
6 2 0, 77.22, 168

No. 3
Simulated X-ray powder pattern
Compound: As4Se
Radiation: Cu Kα, 1.54184 Å
Structure: a PBE-relaxed structure

Structural model:
a b c (Å): 6.171 6.171 6.171
angles (deg): 90.00 90.00 90.00
Space group Im-3m (No. 229)
Symmetry-distinct sites (fractional):
1 As 0.250 0.250 0.250 (multiplicity 8)
2 Se 0.000 0.000 0.000 (multiplicity 2)

Most intense lines, 2θ from 10° to 90°, in order of rising 2θ:
(hkl), Position (°2θ), Rel. int.
1 1 0, 20.35, 271
2 0 0, 28.94, 466
2 2 0, 41.38, 1000
4 0 0, 59.96, 164
4 2 0, 67.92, 158
4 2 2, 75.46, 333

No. 4
Simulated X-ray powder pattern
Compound: Hf2HRh6
Radiation: Cu Kα, 1.54184 Å
Structure: a PBE-relaxed structure

Structural model:
a b c (Å): 5.610 5.610 7.925
angles (deg): 90.00 90.00 90.00
Space group I4/mmm (No. 139)
Symmetry-distinct sites (fractional):
1 Hf 0.000 0.500 0.250 (multiplicity 4)
2 H 0.000 0.000 0.000 (multiplicity 2)
3 Rh 0.000 0.000 0.252 (multiplicity 4)
4 Rh 0.248 0.248 0.500 (multiplicity 8)

Most intense lines, 2θ from 10° to 90°, in order of rising 2θ:
(hkl), Position (°2θ), Rel. int.
1 1 0, 22.42, 59
2 0 2, 39.35, 1000
2 2 0, 45.76, 489
4 0 0, 66.72, 313
4 2 2, 80.30, 370
4 0 4, 84.67, 109

No. 5
Simulated X-ray powder pattern
Compound: K2Al12Au7
Radiation: Cu Kα, 1.54184 Å
Structure: a PBE-relaxed structure

Structural model:
a b c (Å): 10.6035 10.6035 4.2080
angles (deg): 90.00 90.00 120.00
Space group P-3 (No. 147)
Symmetry-distinct sites (fractional):
1 K 0.3333 0.6667 0.2446 (multiplicity 2)
2 Al 0.0538 0.6184 0.7522 (multiplicity 6)
3 Al 0.1215 0.8547 0.2380 (multiplicity 6)
4 Au 0.0000 0.0000 0.0000 (multiplicity 1)
5 Au 0.1114 0.4013 0.7391 (multiplicity 6)

Most intense lines, 2θ from 10° to 90°, in order of rising 2θ:
(hkl), Position (°2θ), Rel. int.
1 2 0, 25.67, 1000
1 1 1, 27.05, 562
2 0 1, 28.78, 394
3 -2 1, 33.47, 330
4 -3 1, 41.44, 407
2 3 1, 48.31, 330

No. 6
Simulated X-ray powder pattern
Compound: V6SbC
Radiation: Cu Kα, 1.54184 Å
Structure: a PBE-relaxed structure

Structural model:
a b c (Å): 4.597 4.893 5.228
angles (deg): 96.83 106.59 99.36
Space group P-1 (No. 2)
Symmetry-distinct sites (fractional):
1 V 0.117 0.272 0.202 (multiplicity 2)
2 V 0.265 0.822 0.441 (multiplicity 2)
3 V 0.271 0.407 0.758 (multiplicity 2)
4 Sb 0.500 0.000 0.000 (multiplicity 1)
5 C 0.500 0.500 0.500 (multiplicity 1)

Most intense lines, 2θ from 10° to 90°, in order of rising 2θ:
(hkl), Position (°2θ), Rel. int.
0 1 -2, 38.05, 884
1 -2 0, 39.33, 1000
2 0 -1, 40.11, 617
1 1 1, 40.70, 979
-1 1 2, 41.74, 695
1 2 -1, 45.65, 520

No. 7
Simulated X-ray powder pattern
Compound: Li2AcTmCd4
Radiation: Cu Kα, 1.54184 Å
Structure: a PBE-relaxed structure

Structural model:
a b c (Å): 4.9506 4.9506 28.5788
angles (deg): 90.00 90.00 120.00
Space group R-3m (No. 166, hexagonal axes)
Symmetry-distinct sites (fractional):
1 Li 0.0000 0.0000 0.2362 (multiplicity 6)
2 Ac 0.0000 0.0000 0.0000 (multiplicity 3)
3 Tm 0.0000 0.0000 0.5000 (multiplicity 3)
4 Cd 0.0000 0.0000 0.1221 (multiplicity 6)
5 Cd 0.0000 0.0000 0.3956 (multiplicity 6)

Most intense lines, 2θ from 10° to 90°, in order of rising 2θ:
(hkl), Position (°2θ), Rel. int.
0 1 2, 21.64, 991
0 1 8, 32.63, 994
1 1 0, 36.29, 1000
1 0 10, 37.83, 513
2 0 8, 49.59, 305
1 2 8, 62.99, 294

No. 8
Simulated X-ray powder pattern
Compound: Hg6Sb2I2Cl
Radiation: Cu Kα, 1.54184 Å
Structure: a PBE-relaxed structure

Structural model:
a b c (Å): 6.883 8.357 8.761
angles (deg): 70.24 81.16 67.99
Space group P-1 (No. 2)
Symmetry-distinct sites (fractional):
1 Hg 0.001 0.282 0.402 (multiplicity 2)
2 Hg 0.318 0.952 0.403 (multiplicity 2)
3 Hg 0.407 0.355 0.878 (multiplicity 2)
4 Sb 0.356 0.402 0.561 (multiplicity 2)
5 I 0.371 0.811 0.838 (multiplicity 2)
6 Cl 0.000 0.500 0.000 (multiplicity 1)

Most intense lines, 2θ from 10° to 90°, in order of rising 2θ:
(hkl), Position (°2θ), Rel. int.
0 0 1, 10.74, 789
1 1 1, 15.77, 464
1 1 -1, 20.67, 611
2 2 0, 30.01, 1000
-1 2 1, 31.42, 808
1 1 3, 31.89, 865

No. 9
Simulated X-ray powder pattern
Compound: SmY2Ho6Er3
Radiation: Cu Kα, 1.54184 Å
Structure: a PBE-relaxed structure

Structural model:
a b c (Å): 6.126 10.597 11.720
angles (deg): 90.00 99.98 90.00
Space group C2/m (No. 12)
Symmetry-distinct sites (fractional):
1 Sm 0.000 0.000 0.000 (multiplicity 2)
2 Y 0.000 0.333 0.000 (multiplicity 4)
3 Ho 0.248 0.000 0.748 (multiplicity 4)
4 Ho 0.248 0.333 0.747 (multiplicity 8)
5 Er 0.000 0.167 0.500 (multiplicity 4)
6 Er 0.000 0.500 0.500 (multiplicity 2)

Most intense lines, 2θ from 10° to 90°, in order of rising 2θ:
(hkl), Position (°2θ), Rel. int.
1 3 1, 30.99, 1000
2 0 2, 35.93, 505
0 6 0, 51.73, 358
4 0 0, 61.49, 142
3 3 -5, 61.55, 282
4 6 0, 84.49, 176

No. 10
Simulated X-ray powder pattern
Compound: NdTm2Sc7
Radiation: Cu Kα, 1.54184 Å
Structure: a PBE-relaxed structure

Structural model:
a b c (Å): 7.501 16.973 5.055
angles (deg): 90.00 90.00 90.00
Space group Cmmm (No. 65)
Symmetry-distinct sites (fractional):
1 Nd 0.000 0.000 0.000 (multiplicity 2)
2 Tm 0.000 0.264 0.500 (multiplicity 4)
3 Sc 0.000 0.407 0.000 (multiplicity 4)
4 Sc 0.000 0.500 0.500 (multiplicity 2)
5 Sc 0.198 0.097 0.500 (multiplicity 8)

Most intense lines, 2θ from 10° to 90°, in order of rising 2θ:
(hkl), Position (°2θ), Rel. int.
0 0 1, 17.55, 436
0 2 1, 20.45, 888
2 2 1, 31.52, 1000
2 4 0, 31.84, 562
1 5 1, 33.98, 695
0 0 2, 35.52, 432

No. 11
Simulated X-ray powder pattern
Compound: VFe11C4
Radiation: Cu Kα, 1.54184 Å
Structure: a PBE-relaxed structure

Structural model:
a b c (Å): 4.794 4.309 7.695
angles (deg): 90.00 91.24 90.00
Space group Pm (No. 6)
Symmetry-distinct sites (fractional):
1 V 0.000 0.000 0.000 (multiplicity 1)
2 Fe 0.078 0.000 0.332 (multiplicity 1)
3 Fe 0.114 0.000 0.662 (multiplicity 1)
4 Fe 0.137 0.500 0.124 (multiplicity 1)
5 Fe 0.431 0.500 0.668 (multiplicity 1)
6 Fe 0.452 0.500 0.366 (multiplicity 1)
7 Fe 0.535 0.000 0.196 (multiplicity 1)
8 Fe 0.554 0.000 0.848 (multiplicity 1)
9 Fe 0.618 0.500 0.026 (multiplicity 1)
10 Fe 0.622 0.000 0.530 (multiplicity 1)
11 Fe 0.905 0.500 0.775 (multiplicity 1)
12 Fe 0.959 0.500 0.476 (multiplicity 1)
13 C 0.266 0.324 0.892 (multiplicity 2)
14 C 0.809 0.321 0.244 (multiplicity 2)

Most intense lines, 2θ from 10° to 90°, in order of rising 2θ:
(hkl), Position (°2θ), Rel. int.
2 0 0, 37.53, 321
0 2 0, 41.93, 833
2 1 0, 43.20, 272
1 1 -3, 44.95, 1000
2 1 1, 45.08, 396
1 1 3, 45.63, 719

No. 12
Simulated X-ray powder pattern
Compound: Nd7AsP5
Radiation: Cu Kα, 1.54184 Å
Structure: a PBE-relaxed structure

Structural model:
a b c (Å): 4.160 13.726 24.426
angles (deg): 90.00 90.00 90.00
Space group Cmcm (No. 63)
Symmetry-distinct sites (fractional):
1 Nd 0.000 0.046 0.250 (multiplicity 4)
2 Nd 0.000 0.137 0.535 (multiplicity 8)
3 Nd 0.000 0.320 0.175 (multiplicity 8)
4 Nd 0.000 0.411 0.605 (multiplicity 8)
5 As 0.000 0.299 0.750 (multiplicity 4)
6 P 0.000 0.046 0.646 (multiplicity 8)
7 P 0.000 0.227 0.074 (multiplicity 8)
8 P 0.000 0.500 0.000 (multiplicity 4)

Most intense lines, 2θ from 10° to 90°, in order of rising 2θ:
(hkl), Position (°2θ), Rel. int.
1 1 4, 26.73, 477
0 2 7, 28.70, 1000
1 3 2, 29.94, 789
1 3 3, 31.06, 684
2 0 0, 43.49, 553
0 6 5, 43.65, 459